Entry 1:
This entry pairs a crystal structure of LiI with its computed powder diffraction line list. Radiation: Cu Kα (weighted mean of Kα1 and Kα2). Structure: a structure optimized by DFT (PBE).

Peak list (9 most intense, 10 to 80 degrees two-theta, most intense first)
Position (°2θ), I/Imax, (hkl)
25.61, 100, 1 1 1
29.65, 61, 2 0 0
50.22, 46, 3 1 1
42.43, 45, 2 2 0
69.80, 20, 4 2 0
67.79, 19, 3 3 1
52.62, 16, 2 2 2
77.62, 15, 4 2 2
61.56, 7, 4 0 0

Crystal structure
```
data_LiI
_cell_length_a 6.026
_cell_length_b 6.026
_cell_length_c 6.026
_cell_angle_alpha 90.00
_cell_angle_beta 90.00
_cell_angle_gamma 90.00
_symmetry_space_group_name_H-M 'F m -3 m'
_symmetry_Int_Tables_number 225
_symmetry_space_group_name_Hall '-F 4 2 3'
loop_
_atom_site_label
_atom_site_type_symbol
_atom_site_fract_x
_atom_site_fract_y
_atom_site_fract_z
Li1 Li 0.000 0.000 0.000
I1 I 0.000 0.000 0.500
```



Entry 2:
This entry pairs a crystal structure of K3FeS3 with its computed powder diffraction line list. Radiation: Cu Kα (weighted mean of Kα1 and Kα2). Structure: a structure optimized by DFT (PBE).

Peak list (10 most intense, 10 to 80 degrees two-theta, most intense first)
Position (°2θ), I/Imax, (hkl)
31.47, 100, 2 2 -3
30.73, 89, 1 4 -1
29.90, 79, 2 1 0
13.61, 55, 1 1 -1
36.44, 45, 1 2 2
14.39, 41, 1 0 0
14.06, 40, 0 2 0
28.29, 39, 0 4 0
13.16, 32, 0 1 1
30.86, 30, 1 2 -3

Crystal structure
```
data_K3FeS3
_cell_length_a 7.761
_cell_length_b 12.597
_cell_length_c 10.034
_cell_angle_alpha 90.00
_cell_angle_beta 127.55
_cell_angle_gamma 90.00
_symmetry_space_group_name_H-M 'P 1 21/c 1'
_symmetry_Int_Tables_number 14
_symmetry_space_group_name_Hall '-P 2ybc'
loop_
_atom_site_label
_atom_site_type_symbol
_atom_site_fract_x
_atom_site_fract_y
_atom_site_fract_z
K1 K 0.112 0.131 0.476
K2 K 0.152 0.080 0.894
K3 K 0.366 0.690 0.577
Fe1 Fe 0.440 0.056 0.349
S1 S 0.157 0.170 0.195
S2 S 0.350 0.609 0.878
S3 S 0.377 0.545 0.257
```



Entry 3:
This entry pairs a crystal structure of KNa2AlF6 with its computed powder diffraction line list. Radiation: Cu Kα (weighted mean of Kα1 and Kα2). Structure: a structure optimized by DFT (PBE).

Peak list (10 most intense, 10 to 80 degrees two-theta, most intense first)
Position (°2θ), I/Imax, (hkl)
42.22, 100, 4 0 0
29.51, 87, 2 2 0
20.75, 65, 2 0 0
61.24, 48, 4 4 0
36.35, 34, 2 2 2
52.35, 23, 4 2 2
69.43, 22, 6 2 0
46.22, 17, 3 3 1
55.79, 13, 3 3 3
77.19, 12, 4 4 4

Crystal structure
```
data_KNa2AlF6
_cell_length_a 8.562
_cell_length_b 8.562
_cell_length_c 8.562
_cell_angle_alpha 90.00
_cell_angle_beta 90.00
_cell_angle_gamma 90.00
_symmetry_space_group_name_H-M 'F m -3 m'
_symmetry_Int_Tables_number 225
_symmetry_space_group_name_Hall '-F 4 2 3'
loop_
_atom_site_label
_atom_site_type_symbol
_atom_site_fract_x
_atom_site_fract_y
_atom_site_fract_z
K1 K 0.000 0.000 0.000
Na1 Na 0.250 0.250 0.250
Al1 Al 0.000 0.000 0.500
F1 F 0.000 0.000 0.287
```



Entry 4:
This entry pairs a crystal structure of SiO2 with its computed powder diffraction line list. Radiation: Cu Kα (weighted mean of Kα1 and Kα2). Structure: a structure optimized by DFT (PBE).

Peak list (10 most intense, 10 to 80 degrees two-theta, most intense first)
Position (°2θ), I/Imax, (hkl)
13.93, 100, 1 1 0
24.25, 42, 2 1 1
51.85, 12, 4 3 1
19.75, 12, 2 0 0
34.56, 12, 2 2 2
28.07, 10, 2 2 0
31.46, 9, 3 1 0
78.11, 7, 6 3 3
69.32, 6, 6 2 2
42.66, 6, 3 3 0

Crystal structure
```
data_SiO2
_cell_length_a 8.992
_cell_length_b 8.992
_cell_length_c 8.992
_cell_angle_alpha 90.00
_cell_angle_beta 90.00
_cell_angle_gamma 90.00
_symmetry_space_group_name_H-M 'I -4 3 m'
_symmetry_Int_Tables_number 217
_symmetry_space_group_name_Hall 'I -4 2 3'
loop_
_atom_site_label
_atom_site_type_symbol
_atom_site_fract_x
_atom_site_fract_y
_atom_site_fract_z
Si1 Si 0.000 0.250 0.500
O1 O 0.015 0.352 0.648
```



Entry 5:
This entry pairs a crystal structure of Zr3BiF15 with its computed powder diffraction line list. Radiation: Cu Kα (weighted mean of Kα1 and Kα2). Structure: a structure optimized by DFT (PBE).

Peak list (10 most intense, 10 to 80 degrees two-theta, most intense first)
Position (°2θ), I/Imax, (hkl)
22.28, 100, 0 0 2
22.67, 44, 1 3 0
30.24, 38, 1 3 -2
27.00, 20, 2 2 1
51.80, 19, 1 7 -1
24.22, 16, 2 0 -2
13.92, 15, 1 1 -1
49.31, 14, 5 3 0
44.07, 14, 2 0 -4
43.91, 14, 3 5 -1

Crystal structure
```
data_Zr3BiF15
_cell_length_a 10.686
_cell_length_b 12.726
_cell_length_c 8.281
_cell_angle_alpha 90.00
_cell_angle_beta 106.00
_cell_angle_gamma 90.00
_symmetry_space_group_name_H-M 'C 1 2/c 1'
_symmetry_Int_Tables_number 15
_symmetry_space_group_name_Hall '-C 2yc'
loop_
_atom_site_label
_atom_site_type_symbol
_atom_site_fract_x
_atom_site_fract_y
_atom_site_fract_z
Zr1 Zr 0.000 0.248 0.250
Zr2 Zr 0.210 0.466 0.823
Bi1 Bi 0.000 0.177 0.750
F1 F 0.000 0.466 0.750
F2 F 0.028 0.257 0.502
F3 F 0.129 0.060 0.648
F4 F 0.138 0.366 0.275
F5 F 0.139 0.135 0.279
F6 F 0.153 0.102 0.976
F7 F 0.156 0.311 0.815
F8 F 0.168 0.482 0.553
```



Entry 6:
This entry pairs a crystal structure of TcN with its computed powder diffraction line list. Radiation: Cu Kα (weighted mean of Kα1 and Kα2). Structure: a structure optimized by DFT (PBE).

Peak list (4 most intense, 10 to 80 degrees two-theta, most intense first)
Position (°2θ), I/Imax, (hkl)
47.99, 100, 1 1 0
33.42, 84, 1 0 0
59.74, 22, 1 1 1
70.21, 15, 2 0 0

Crystal structure
```
data_TcN
_cell_length_a 2.681
_cell_length_b 2.681
_cell_length_c 2.681
_cell_angle_alpha 90.00
_cell_angle_beta 90.00
_cell_angle_gamma 90.00
_symmetry_space_group_name_H-M 'P m -3 m'
_symmetry_Int_Tables_number 221
_symmetry_space_group_name_Hall '-P 4 2 3'
loop_
_atom_site_label
_atom_site_type_symbol
_atom_site_fract_x
_atom_site_fract_y
_atom_site_fract_z
Tc1 Tc 0.000 0.000 0.000
N1 N 0.500 0.500 0.500
```



Entry 7:
This entry pairs a crystal structure of Mg2Bi3O8 with its computed powder diffraction line list. Radiation: Cu Kα (weighted mean of Kα1 and Kα2). Structure: a structure optimized by DFT (PBE).

Peak list (10 most intense, 10 to 80 degrees two-theta, most intense first)
Position (°2θ), I/Imax, (hkl)
16.96, 100, 2 0 0
32.00, 56, 2 0 -2
32.80, 53, 2 2 -1
41.72, 36, 4 2 -1
34.97, 24, 0 0 2
25.95, 19, 1 1 1
39.80, 19, 2 2 1
53.01, 19, 4 2 1
27.80, 17, 3 1 -1
15.76, 15, 1 1 0

Crystal structure
```
data_Mg2Bi3O8
_cell_length_a 11.458
_cell_length_b 6.667
_cell_length_c 5.623
_cell_angle_alpha 90.00
_cell_angle_beta 114.11
_cell_angle_gamma 90.00
_symmetry_space_group_name_H-M 'C 1 2/m 1'
_symmetry_Int_Tables_number 12
_symmetry_space_group_name_Hall '-C 2y'
loop_
_atom_site_label
_atom_site_type_symbol
_atom_site_fract_x
_atom_site_fract_y
_atom_site_fract_z
Mg1 Mg 0.213 0.000 0.144
Bi1 Bi 0.000 0.232 0.500
Bi2 Bi 0.000 0.500 0.000
O1 O 0.112 0.000 0.406
O2 O 0.118 0.500 0.473
O3 O 0.127 0.254 0.911
```



Entry 8:
This entry pairs a crystal structure of NiRh2S4 with its computed powder diffraction line list. Radiation: Cu Kα (weighted mean of Kα1 and Kα2). Structure: a structure optimized by DFT (PBE).

Peak list (10 most intense, 10 to 80 degrees two-theta, most intense first)
Position (°2θ), I/Imax, (hkl)
30.45, 100, 3 1 1
53.22, 71, 4 4 0
36.93, 50, 4 0 0
48.59, 40, 5 1 1
15.77, 33, 1 1 1
74.92, 19, 5 5 3
25.88, 15, 2 2 0
62.56, 12, 5 3 3
66.54, 11, 4 4 4
78.62, 11, 8 0 0

Crystal structure
Cell: 9.736 9.736 9.736 Å, 90.00 90.00 90.00°
Space group Fd-3m (No. 227, origin choice 2)
Asymmetric unit:
1 Ni 0.125 0.125 0.125 [8 per cell]
2 Rh 0.000 0.000 0.500 [16 per cell]
3 S 0.005 0.005 0.745 [32 per cell]



Entry 9:
This entry pairs a crystal structure of MgSn2O4 with its computed powder diffraction line list. Radiation: Cu Kα (weighted mean of Kα1 and Kα2). Structure: a structure optimized by DFT (PBE).

Peak list (10 most intense, 10 to 80 degrees two-theta, most intense first)
Position (°2θ), I/Imax, (hkl)
31.79, 100, 2 2 -1
16.88, 97, 0 0 3
32.40, 74, 4 0 -2
38.85, 68, 2 2 -4
32.26, 60, 2 0 5
33.38, 57, 2 2 2
54.59, 53, 6 2 0
30.99, 50, 4 0 1
56.86, 50, 2 2 8
31.50, 44, 3 1 -3

Crystal structure
```
data_MgSn2O4
_cell_length_a 11.757
_cell_length_b 6.544
_cell_length_c 15.761
_cell_angle_alpha 90.00
_cell_angle_beta 90.43
_cell_angle_gamma 90.00
_symmetry_space_group_name_H-M 'C 1 m 1'
_symmetry_Int_Tables_number 8
_symmetry_space_group_name_Hall 'C -2y'
loop_
_atom_site_label
_atom_site_type_symbol
_atom_site_fract_x
_atom_site_fract_y
_atom_site_fract_z
Mg1 Mg 0.000 0.000 0.000
Mg2 Mg 0.013 0.000 0.384
Mg3 Mg 0.027 0.000 0.761
Mg4 Mg 0.185 0.500 0.713
Mg5 Mg 0.198 0.500 0.098
Mg6 Mg 0.351 0.000 0.424
Sn1 Sn 0.011 0.500 0.881
Sn2 Sn 0.102 0.243 0.547
Sn3 Sn 0.179 0.500 0.329
Sn4 Sn 0.180 0.000 0.218
Sn5 Sn 0.257 0.257 0.880
Sn6 Sn 0.346 0.000 0.048
Sn7 Sn 0.351 0.500 0.547
Sn8 Sn 0.353 0.000 0.670
Sn9 Sn 0.436 0.253 0.216
O1 O 0.000 0.000 0.629
O2 O 0.004 0.000 0.134
O3 O 0.021 0.500 0.149
O4 O 0.049 0.500 0.622
O5 O 0.071 0.231 0.302
O6 O 0.124 0.250 0.791
O7 O 0.174 0.000 0.459
O8 O 0.177 0.000 0.953
O9 O 0.183 0.500 0.478
O10 O 0.203 0.500 0.965
O11 O 0.258 0.286 0.621
O12 O 0.289 0.267 0.143
O13 O 0.326 0.500 0.802
O14 O 0.334 0.000 0.821
O15 O 0.370 0.000 0.292
O16 O 0.385 0.500 0.291
O17 O 0.413 0.263 0.949
O18 O 0.431 0.273 0.470
```